Starting from a cell relaxed with GGA-PBE, the XRD peak list of Cs2HfAsBr6 was simulated for Cu Kα.
No peak broadening, texture or thermal motion is included.

The 8 most intense peaks (10 to 90 degrees two-theta), sorted by position:
| d [Å] | Position (°2θ) | Rel. int. |
| --- | --- | --- |
| 6.935 | 12.8 | 54.8 |
| 4.247 | 20.9 | 100.0 |
| 3.468 | 25.7 | 63.8 |
| 3.010 | 29.7 | 46.4 |
| 3.000 | 29.8 | 92.3 |
| 2.452 | 36.6 | 36.4 |
| 2.124 | 42.6 | 92.6 |
| 1.734 | 52.8 | 29.3 |

Cell and atoms:
a b c (Å): 8.4993 8.4993 8.4993
angles (deg): 120.12 120.12 89.79
Positions (direct):
Cs1 0.2500 0.7500 0.5000
Cs2 0.7500 0.2500 0.5000
Hf1 0.0000 0.0000 0.0000
As1 0.5000 0.5000 0.0000
Br1 0.2182 0.2182 0.0000
Br2 0.2190 0.2190 0.4381
Br3 0.2190 0.7810 0.0000
Br4 0.7810 0.2190 0.0000
Br5 0.7810 0.7810 0.5619
Br6 0.7818 0.7818 0.0000

***

Starting from a cell relaxed with GGA-PBE, the XRD peak list of Cs2AsI6Br was simulated for Cu Kα.
No peak broadening, texture or thermal motion is included.

The 8 most intense peaks (10 to 90 degrees two-theta), sorted by position:
| d [Å] | Position (°2θ) | Rel. int. |
| --- | --- | --- |
| 3.524 | 25.3 | 100.0 |
| 3.157 | 28.3 | 69.2 |
| 2.869 | 31.2 | 28.9 |
| 2.233 | 40.4 | 24.0 |
| 2.123 | 42.6 | 44.7 |
| 1.886 | 48.3 | 27.0 |
| 1.762 | 51.9 | 26.6 |
| 1.267 | 75.0 | 13.5 |

Cell and atoms:
a b c (Å): 8.5318 8.5318 8.5318
angles (deg): 116.89 116.89 95.48
Positions (direct):
Cs1 0.2500 0.7500 0.5000
Cs2 0.7500 0.2500 0.5000
As1 0.0000 0.0000 0.0000
I1 0.2257 0.2257 0.4513
I2 0.2257 0.7743 0.0000
I3 0.2468 0.2468 0.0000
I4 0.7532 0.7532 0.0000
I5 0.7743 0.2257 0.0000
I6 0.7743 0.7743 0.5487
Br1 0.5000 0.5000 0.0000

***

Starting from a cell relaxed with GGA-PBE, the XRD peak list of Cs2KAsBr6 was simulated for Cu Kα.
No peak broadening, texture or thermal motion is included.

The 8 most intense peaks (10 to 90 degrees two-theta), sorted by position:
| d [Å] | Position (°2θ) | Rel. int. |
| --- | --- | --- |
| 4.128 | 21.5 | 29.7 |
| 3.505 | 25.4 | 15.5 |
| 3.387 | 26.3 | 52.3 |
| 3.361 | 26.5 | 25.5 |
| 3.343 | 26.7 | 25.1 |
| 2.918 | 30.6 | 100.0 |
| 2.068 | 43.8 | 16.7 |
| 2.060 | 44.0 | 16.9 |

Cell and atoms:
a b c (Å): 8.1834 8.3141 14.2297
angles (deg): 90.00 124.77 90.00
Positions (direct):
Cs1 0.2370 0.0488 0.2486
Cs2 0.2370 0.4512 0.7486
Cs3 0.7630 0.5488 0.2514
Cs4 0.7630 0.9512 0.7514
K1 0.5000 0.0000 0.0000
K2 0.5000 0.5000 0.5000
As1 0.0000 0.0000 0.5000
As2 0.0000 0.5000 0.0000
Br1 0.1530 0.2358 0.9691
Br2 0.1530 0.2642 0.4691
Br3 0.2316 0.6862 0.9675
Br4 0.2316 0.8138 0.4675
Br5 0.2856 0.0065 0.7250
Br6 0.2856 0.4935 0.2250
Br7 0.7144 0.5065 0.7750
Br8 0.7144 0.9935 0.2750
Br9 0.7684 0.1862 0.5325
Br10 0.7684 0.3138 0.0325
Br11 0.8470 0.7358 0.5309
Br12 0.8470 0.7642 0.0309

***

Starting from a cell relaxed with GGA-PBE, the XRD peak list of Cs2AsBr6O was simulated for Cu Kα.
No peak broadening, texture or thermal motion is included.

The 8 most intense peaks (10 to 90 degrees two-theta), sorted by position:
| d [Å] | Position (°2θ) | Rel. int. |
| --- | --- | --- |
| 3.932 | 22.6 | 20.6 |
| 3.143 | 28.4 | 38.5 |
| 3.100 | 28.8 | 100.0 |
| 2.519 | 35.6 | 49.2 |
| 1.966 | 46.2 | 38.3 |
| 1.781 | 51.3 | 16.6 |
| 1.550 | 59.7 | 17.3 |
| 1.545 | 59.9 | 23.3 |

Cell and atoms:
a b c (Å): 8.0569 8.0569 8.0569
angles (deg): 127.51 127.51 77.42
Positions (direct):
Cs1 0.2500 0.7500 0.5000
Cs2 0.7500 0.2500 0.5000
As1 0.0000 0.0000 0.0000
Br1 0.2099 0.2099 0.0000
Br2 0.2623 0.2623 0.5245
Br3 0.2623 0.7377 0.0000
Br4 0.7377 0.2623 0.0000
Br5 0.7377 0.7377 0.4755
Br6 0.7901 0.7901 0.0000
O1 0.5000 0.5000 0.0000

***

Starting from a cell relaxed with GGA-PBE, the XRD peak list of CsAsPb2Br8 was simulated for Cu Kα.
No peak broadening, texture or thermal motion is included.

The 8 most intense peaks (10 to 90 degrees two-theta), sorted by position:
| d [Å] | Position (°2θ) | Rel. int. |
| --- | --- | --- |
| 7.262 | 12.2 | 100.0 |
| 6.352 | 13.9 | 24.3 |
| 3.222 | 27.7 | 71.8 |
| 2.966 | 30.1 | 33.7 |
| 2.887 | 31.0 | 29.0 |
| 2.811 | 31.8 | 23.9 |
| 2.656 | 33.8 | 28.0 |
| 2.385 | 37.7 | 28.7 |

Cell and atoms:
a b c (Å): 7.5385 7.5450 8.5251
angles (deg): 74.37 88.59 87.91
Positions (direct):
Cs1 0.0000 0.0000 0.0000
As1 0.0000 0.5000 0.5000
Pb1 0.4517 0.4891 0.2603
Pb2 0.5483 0.5109 0.7397
Br1 0.0682 0.4224 0.2150
Br2 0.2408 0.7635 0.4169
Br3 0.2625 0.2616 0.6322
Br4 0.4499 0.7669 0.9525
Br5 0.5501 0.2331 0.0475
Br6 0.7375 0.7384 0.3678
Br7 0.7592 0.2365 0.5831
Br8 0.9318 0.5776 0.7850

***

Starting from a cell relaxed with GGA-PBE, the XRD peak list of CsZrAsBr2 was simulated for Cu Kα.
No peak broadening, texture or thermal motion is included.

The 8 most intense peaks (10 to 90 degrees two-theta), sorted by position:
| d [Å] | Position (°2θ) | Rel. int. |
| --- | --- | --- |
| 3.822 | 23.3 | 44.3 |
| 3.158 | 28.3 | 98.9 |
| 2.804 | 31.9 | 100.0 |
| 2.611 | 34.3 | 40.9 |
| 1.983 | 45.8 | 35.9 |
| 1.911 | 47.6 | 63.9 |
| 1.679 | 54.7 | 30.3 |
| 1.579 | 58.4 | 34.3 |

Cell and atoms:
a b c (Å): 5.6086 5.6086 5.2224
angles (deg): 90.00 90.00 90.00
Positions (direct):
Cs1 0.0000 0.0000 0.0000
Zr1 0.5000 0.5000 0.5000
As1 0.5000 0.5000 0.0000
Br1 0.0000 0.5000 0.5000
Br2 0.5000 0.0000 0.5000

***

Starting from a cell relaxed with GGA-PBE, the XRD peak list of CuAsBr4 was simulated for Cu Kα.
No peak broadening, texture or thermal motion is included.

The 8 most intense peaks (10 to 90 degrees two-theta), sorted by position:
| d [Å] | Position (°2θ) | Rel. int. |
| --- | --- | --- |
| 4.486 | 19.8 | 53.4 |
| 3.415 | 26.1 | 38.0 |
| 2.992 | 29.9 | 100.0 |
| 2.575 | 34.8 | 47.4 |
| 2.185 | 41.3 | 18.5 |
| 1.982 | 45.8 | 20.7 |
| 1.955 | 46.4 | 25.1 |
| 1.949 | 46.6 | 29.1 |

Cell and atoms:
a b c (Å): 9.9483 9.9483 6.4846
angles (deg): 104.01 104.01 133.04
Positions (direct):
Cu1 0.1357 0.8643 0.7500
Cu2 0.8643 0.1357 0.2500
As1 0.3141 0.6859 0.2500
As2 0.6859 0.3141 0.7500
Br1 0.0305 0.4282 0.7282
Br2 0.1985 0.3671 0.2701
Br3 0.3671 0.1985 0.7701
Br4 0.4282 0.0305 0.2282
Br5 0.5718 0.9695 0.7718
Br6 0.6329 0.8015 0.2299
Br7 0.8015 0.6329 0.7299
Br8 0.9695 0.5718 0.2718

***

Starting from a cell relaxed with GGA-PBE, the XRD peak list of Hg4AsBr2F was simulated for Cu Kα.
No peak broadening, texture or thermal motion is included.

The 8 most intense peaks (10 to 90 degrees two-theta), sorted by position:
| d [Å] | Position (°2θ) | Rel. int. |
| --- | --- | --- |
| 7.006 | 12.6 | 19.7 |
| 3.518 | 25.3 | 22.0 |
| 3.503 | 25.4 | 36.8 |
| 3.417 | 26.1 | 23.9 |
| 3.362 | 26.5 | 49.6 |
| 2.852 | 31.4 | 100.0 |
| 2.175 | 41.5 | 53.7 |
| 2.052 | 44.1 | 23.7 |

Cell and atoms:
a b c (Å): 8.8202 8.8202 8.8202
angles (deg): 126.53 124.54 80.66
Positions (direct):
Hg1 0.2463 0.2316 0.0147
Hg2 0.2831 0.7684 0.5147
Hg3 0.2974 0.3549 0.5575
Hg4 0.2974 0.7399 0.9425
Hg5 0.7026 0.2601 0.0575
Hg6 0.7026 0.6451 0.4425
Hg7 0.7169 0.2316 0.4853
Hg8 0.7537 0.7684 0.9853
As1 0.5000 0.0000 0.0000
As2 0.5000 0.5000 0.5000
Br1 0.0000 0.0000 0.0000
Br2 0.0000 0.0000 0.5000
Br3 0.0000 0.5000 0.0000
Br4 0.5000 0.0000 0.5000
F1 0.0000 0.5000 0.5000
F2 0.5000 0.5000 0.0000